The following is a theoretical XRD peak list of TbHo3B2Pb2. It was derived from the PBE geometry in OQMD, using Cu Kα.

The 10 most intense peaks (2θ from 10° to 90°), in order of rising 2θ:
2θ = 27.94°, rel. 23, hkl 1 0 0
2θ = 32.20°, rel. 21, hkl 0 0 6
2θ = 32.33°, rel. 100, hkl 1 0 3
2θ = 43.15°, rel. 16, hkl 1 0 6
2θ = 49.44°, rel. 21, hkl 1 1 0
2θ = 57.50°, rel. 19, hkl 1 0 9
2θ = 60.27°, rel. 39, hkl 1 1 6
2θ = 79.19°, rel. 7, hkl 0 2 9
2θ = 81.64°, rel. 15, hkl 2 1 3
2θ = 88.00°, rel. 8, hkl 1 1 12

Cell: 3.6870 3.6870 16.6791 Å, 90.00 90.00 120.00°
Space group P3m1 (No. 156)
Unique sites:
Tb (0.0000, 0.0000, 0.0000) (multiplicity 1)
Ho (0.0000, 0.0000, 0.3218) (multiplicity 1)
Ho (0.3333, 0.6667, 0.4991) (multiplicity 1)
Ho (0.3333, 0.6667, 0.8200) (multiplicity 1)
B (0.6667, 0.3333, 0.4105) (multiplicity 1)
B (0.6667, 0.3333, 0.9091) (multiplicity 1)
Pb (0.0000, 0.0000, 0.6598) (multiplicity 1)
Pb (0.3333, 0.6667, 0.1617) (multiplicity 1)

=====

The following is a theoretical XRD peak list of HoTmBPb. It was derived from the PBE geometry in OQMD, using Cu Kα.

The 10 most intense peaks (2θ from 10° to 90°), in order of rising 2θ:
2θ = 28.16°, rel. 23, hkl 1 0 0
2θ = 32.46°, rel. 21, hkl 0 0 6
2θ = 32.58°, rel. 100, hkl 0 1 3
2θ = 43.49°, rel. 16, hkl 1 0 6
2θ = 49.84°, rel. 21, hkl 1 1 0
2θ = 57.98°, rel. 19, hkl 0 1 9
2θ = 60.78°, rel. 39, hkl 1 1 6
2θ = 79.91°, rel. 8, hkl 2 0 9
2θ = 82.38°, rel. 15, hkl 2 1 3
2θ = 88.84°, rel. 8, hkl 1 1 12

Cell: 3.6594 3.6594 16.5519 Å, 90.00 90.00 120.00°
Space group P-3m1 (No. 164)
Unique sites:
Ho (0.3333, 0.6667, 0.0902) (multiplicity 2)
Tm (0.3333, 0.6667, 0.4126) (multiplicity 2)
B (0.0000, 0.0000, 0.0000) (multiplicity 1)
B (0.0000, 0.0000, 0.5000) (multiplicity 1)
Pb (0.3333, 0.6667, 0.7481) (multiplicity 2)

=====

The following is a theoretical XRD peak list of HoTmBPb. It was derived from the PBE geometry in OQMD, using Cu Kα.

The 10 most intense peaks (2θ from 10° to 90°), in order of rising 2θ:
2θ = 28.16°, rel. 19, hkl 1 0 0
2θ = 32.58°, rel. 100, hkl 0 0 6
2θ = 43.52°, rel. 13, hkl 1 0 6
2θ = 49.84°, rel. 18, hkl 1 1 0
2θ = 58.04°, rel. 15, hkl 1 0 9
2θ = 60.79°, rel. 32, hkl 1 1 6
2θ = 79.96°, rel. 6, hkl 2 0 9
2θ = 82.39°, rel. 12, hkl 2 1 3
2θ = 88.93°, rel. 7, hkl 1 1 12
2θ = 89.14°, rel. 4, hkl 2 1 6

Cell: 3.6595 3.6595 16.5317 Å, 90.00 90.00 120.00°
Space group P-6m2 (No. 187)
Unique sites:
Ho (0.0000, 0.0000, 0.1617) (multiplicity 2)
Tm (0.3333, 0.6667, 0.3393) (multiplicity 2)
B (0.6667, 0.3333, 0.2514) (multiplicity 2)
Pb (0.0000, 0.0000, 0.5000) (multiplicity 1)
Pb (0.3333, 0.6667, 0.0000) (multiplicity 1)

=====

The following is a theoretical XRD peak list of PmHoB4. It was derived from the PBE geometry in OQMD, using Cu Kα.

The 10 most intense peaks (2θ from 10° to 90°), in order of rising 2θ:
2θ = 22.48°, rel. 47, hkl 0 0 2
2θ = 31.19°, rel. 73, hkl 1 1 0
2θ = 38.79°, rel. 100, hkl 1 1 2
2θ = 45.90°, rel. 11, hkl 0 0 4
2θ = 55.50°, rel. 19, hkl 2 0 0
2θ = 56.54°, rel. 28, hkl 1 1 4
2θ = 60.63°, rel. 21, hkl 2 0 2
2θ = 69.76°, rel. 18, hkl 2 2 2
2θ = 74.79°, rel. 16, hkl 2 0 4
2θ = 80.14°, rel. 12, hkl 1 1 6

Cell: 3.3101 5.7383 7.9086 Å, 90.00 90.00 90.00°
Space group Immm (No. 71)
Unique sites:
Pm (0.0000, 0.0000, 0.0000) (multiplicity 2)
Ho (0.0000, 0.0000, 0.5000) (multiplicity 2)
B (0.0000, 0.3334, 0.2484) (multiplicity 8)

=====

The following is a theoretical XRD peak list of HoB4Pt. It was derived from the PBE geometry in OQMD, using Cu Kα.

The 10 most intense peaks (2θ from 10° to 90°), in order of rising 2θ:
2θ = 23.06°, rel. 80, hkl 0 0 2
2θ = 33.04°, rel. 75, hkl 1 1 0
2θ = 34.08°, rel. 33, hkl 0 2 0
2θ = 40.67°, rel. 100, hkl 1 1 2
2θ = 41.55°, rel. 48, hkl 0 2 2
2θ = 47.13°, rel. 18, hkl 0 0 4
2θ = 58.76°, rel. 30, hkl 1 1 4
2θ = 60.33°, rel. 17, hkl 1 3 0
2θ = 65.48°, rel. 20, hkl 1 3 2
2θ = 74.13°, rel. 18, hkl 2 2 2

Cell: 3.1639 5.2623 7.7133 Å, 90.00 90.00 90.00°
Space group Immm (No. 71)
Unique sites:
Ho (0.0000, 0.0000, 0.0000) (multiplicity 2)
B (0.0000, 0.3221, 0.2617) (multiplicity 8)
Pt (0.0000, 0.0000, 0.5000) (multiplicity 2)

=====

The following is a theoretical XRD peak list of Ho4SnB2S. It was derived from the PBE geometry in OQMD, using Cu Kα.

The 10 most intense peaks (2θ from 10° to 90°), in order of rising 2θ:
2θ = 27.99°, rel. 33, hkl 1 0 0
2θ = 28.63°, rel. 16, hkl 1 0 1
2θ = 29.86°, rel. 17, hkl 0 0 5
2θ = 30.48°, rel. 20, hkl 1 0 2
2θ = 33.36°, rel. 100, hkl 1 0 3
2θ = 41.38°, rel. 16, hkl 1 0 5
2θ = 49.53°, rel. 30, hkl 1 1 0
2θ = 57.10°, rel. 20, hkl 1 0 8
2θ = 58.91°, rel. 16, hkl 1 1 5
2θ = 61.03°, rel. 18, hkl 2 0 3

Cell: 3.6811 3.6811 14.9618 Å, 90.00 90.00 120.00°
Space group P-6m2 (No. 187)
Unique sites:
Ho (0.0000, 0.0000, 0.1232) (multiplicity 2)
Ho (0.6667, 0.3333, 0.3268) (multiplicity 2)
Sn (0.0000, 0.0000, 0.5000) (multiplicity 1)
B (0.3333, 0.6667, 0.2261) (multiplicity 2)
S (0.6667, 0.3333, 0.0000) (multiplicity 1)

=====

The following is a theoretical XRD peak list of HoTmTlB. It was derived from the PBE geometry in OQMD, using Cu Kα.

The 10 most intense peaks (2θ from 10° to 90°), in order of rising 2θ:
2θ = 28.57°, rel. 23, hkl 1 0 0
2θ = 32.06°, rel. 22, hkl 0 0 6
2θ = 32.85°, rel. 100, hkl 0 1 3
2θ = 43.47°, rel. 16, hkl 1 0 6
2θ = 50.61°, rel. 21, hkl 1 1 0
2θ = 57.66°, rel. 18, hkl 0 1 9
2θ = 61.18°, rel. 21, hkl 1 1 6
2θ = 61.66°, rel. 17, hkl 2 0 3
2θ = 80.23°, rel. 7, hkl 2 0 9
2θ = 83.72°, rel. 14, hkl 1 2 3

Cell: 3.6074 3.6074 16.7490 Å, 90.00 90.00 120.00°
Space group P-3m1 (No. 164)
Unique sites:
Ho (0.3333, 0.6667, 0.4078) (multiplicity 2)
Tm (0.3333, 0.6667, 0.0899) (multiplicity 2)
Tl (0.3333, 0.6667, 0.7519) (multiplicity 2)
B (0.0000, 0.0000, 0.0000) (multiplicity 1)
B (0.0000, 0.0000, 0.5000) (multiplicity 1)

=====

The following is a theoretical XRD peak list of HoTmB4. It was derived from the PBE geometry in OQMD, using Cu Kα.

The 10 most intense peaks (2θ from 10° to 90°), in order of rising 2θ:
2θ = 23.44°, rel. 47, hkl 0 0 2
2θ = 31.59°, rel. 76, hkl 1 1 0
2θ = 39.71°, rel. 100, hkl 1 1 2
2θ = 47.94°, rel. 10, hkl 0 0 4
2θ = 56.26°, rel. 19, hkl 2 0 0
2θ = 58.55°, rel. 27, hkl 1 1 4
2θ = 61.78°, rel. 21, hkl 2 0 2
2θ = 71.05°, rel. 18, hkl 2 2 2
2θ = 76.98°, rel. 16, hkl 2 0 4
2θ = 83.74°, rel. 12, hkl 1 1 6

Cell: 3.2706 5.6636 7.5904 Å, 90.00 90.00 90.00°
Space group Immm (No. 71)
Unique sites:
Ho (0.0000, 0.0000, 0.0000) (multiplicity 2)
Tm (0.0000, 0.0000, 0.5000) (multiplicity 2)
B (0.0000, 0.3333, 0.2494) (multiplicity 8)